Starting from a DFT-relaxed cell (PBE+U, Alexandria), the powder diffractogram of KV3Se2O12 was simulated for Cu Kα (λ = 1.5418 Å).

Main lines, in order of falling intensity (5° ≤ 2θ ≤ 70°):
hkl 1 1 2, 28.96°, rel. 100
hkl 1 0 1, 16.05°, rel. 60
hkl 2 0 1, 29.74°, rel. 43
hkl 1 0 2, 20.49°, rel. 39
hkl 1 0 4, 32.89°, rel. 35
hkl 2 2 0, 51.01°, rel. 31
hkl 1 0 0, 14.28°, rel. 30
hkl 1 0 3, 26.32°, rel. 24
hkl 3 0 2, 46.40°, rel. 23
hkl 1 1 0, 24.87°, rel. 22

Cell and atoms:
```
data_KV3Se2O12
_space_group_name_H-M_alt 'P 63'
_space_group_IT_number 173
_space_group_name_Hall 'P 6c'
_cell_length_a 7.1617
_cell_length_b 7.1617
_cell_length_c 12.1247
_cell_angle_alpha 90.00
_cell_angle_beta 90.00
_cell_angle_gamma 120.00
loop_
_atom_site_label
_atom_site_type_symbol
_atom_site_fract_x
_atom_site_fract_y
_atom_site_fract_z
K1 K 0.3333 0.6667 0.0000
V1 V 0.1272 0.3331 0.3737
Se1 Se 0.0000 0.0000 0.1595
Se2 Se 0.3333 0.6667 0.5915
O1 O 0.0815 0.5411 0.3507
O2 O 0.1230 0.8688 0.2207
O3 O 0.1249 0.8739 0.9041
O4 O 0.2001 0.7877 0.5321
```